Theoretical X-ray diffraction stick pattern
Compound: Dy12Al7Si
Radiation: a wavelength of 1.5418 Å
Structure: a crystal structure in Alexandria, relaxed with GGA-PBE
Kinematic intensities with the Lorentz-polarization factor, no thermal factor.

Principal peaks in the range 5° ≤ 2θ ≤ 70°, most intense first:
d_spacing  2θ (°)  I (rel.)
2.649  33.83  1000
2.780  32.20  985
2.727  32.84  487
1.725  53.08  447
3.638  24.47  412
3.810  23.35  401

Crystal structure
Unit cell a=11.2255 b=11.2255 c=11.2255 alpha=117.44 beta=117.44 gamma=94.50
Sites, in units of the cell vectors:
1 Dy 0.0630 0.9268 0.2635
2 Dy 0.0732 0.3366 0.1362
3 Dy 0.1474 0.6474 0.5000
4 Dy 0.1634 0.4268 0.8638
5 Dy 0.1716 0.3284 0.5000
6 Dy 0.2004 0.9370 0.8638
7 Dy 0.2996 0.1634 0.7365
8 Dy 0.3284 0.8284 0.1568
9 Dy 0.3366 0.2004 0.2635
10 Dy 0.3526 0.8526 0.5000
11 Dy 0.4268 0.5630 0.2635
12 Dy 0.4370 0.7004 0.8638
13 Dy 0.5630 0.2996 0.1362
14 Dy 0.5732 0.4370 0.7365
15 Dy 0.6474 0.1474 0.5000
16 Dy 0.6634 0.7996 0.7365
17 Dy 0.6716 0.1716 0.8432
18 Dy 0.7004 0.8366 0.2635
19 Dy 0.7996 0.0630 0.1362
20 Dy 0.8284 0.6716 0.5000
21 Dy 0.8366 0.5732 0.1362
22 Dy 0.8526 0.3526 0.5000
23 Dy 0.9268 0.6634 0.8638
24 Dy 0.9370 0.0732 0.7365
25 Al 0.0000 0.0000 0.0000
26 Al 0.0255 0.8821 0.5000
27 Al 0.1179 0.6179 0.1435
28 Al 0.1190 0.6190 0.7379
29 Al 0.3810 0.1190 0.5000
30 Al 0.3821 0.5255 0.5000
31 Al 0.4745 0.9745 0.8565
32 Al 0.5000 0.5000 0.0000
33 Al 0.5255 0.0255 0.1435
34 Al 0.6179 0.4745 0.5000
35 Al 0.6190 0.8810 0.5000
36 Al 0.8810 0.3810 0.2621
37 Al 0.8821 0.3821 0.8565
38 Al 0.9745 0.1179 0.5000
39 Si 0.2500 0.2500 0.0000
40 Si 0.7500 0.7500 0.0000

***

Theoretical X-ray diffraction stick pattern
Compound: NdHo12Th5
Radiation: a wavelength of 1.5418 Å
Structure: a crystal structure in Alexandria, relaxed with GGA-PBE
Kinematic intensities with the Lorentz-polarization factor, no thermal factor.

Principal peaks in the range 5° ≤ 2θ ≤ 70°, most intense first:
d_spacing  2θ (°)  I (rel.)
2.904  30.79  1000
2.892  30.92  989
2.508  35.81  672
1.515  61.18  433
1.777  51.42  363
2.514  35.72  339

Crystal structure
Unit cell a=10.6555 b=10.6555 c=6.1570 alpha=106.77 beta=106.77 gamma=59.69
Sites, in units of the cell vectors:
1 Nd 0.0000 0.0000 0.0000
2 Ho 0.0021 0.3342 0.9994
3 Ho 0.1669 0.8331 0.5000
4 Ho 0.1680 0.4990 0.4997
5 Ho 0.3342 0.0021 0.9994
6 Ho 0.3373 0.6627 0.0000
7 Ho 0.4990 0.1680 0.4997
8 Ho 0.5010 0.8320 0.5003
9 Ho 0.6627 0.3373 0.0000
10 Ho 0.6658 0.9979 0.0006
11 Ho 0.8320 0.5010 0.5003
12 Ho 0.8331 0.1669 0.5000
13 Ho 0.9979 0.6658 0.0006
14 Th 0.1683 0.1683 0.5076
15 Th 0.3335 0.3335 0.9993
16 Th 0.5000 0.5000 0.5000
17 Th 0.6665 0.6665 0.0007
18 Th 0.8317 0.8317 0.4924

***

Theoretical X-ray diffraction stick pattern
Compound: AcPmN2
Radiation: a wavelength of 1.5418 Å
Structure: a crystal structure in Alexandria, relaxed with GGA-PBE
Kinematic intensities with the Lorentz-polarization factor, no thermal factor.

Principal peaks in the range 5° ≤ 2θ ≤ 70°, most intense first:
d_spacing  2θ (°)  I (rel.)
3.070  29.09  1000
2.663  33.65  933
3.092  28.88  340
1.888  48.19  337
1.878  48.47  333
1.605  57.41  319

Crystal structure
Unit cell a=3.7561 b=3.7561 c=18.5511 alpha=90.00 beta=90.00 gamma=120.00
Sites, in units of the cell vectors:
1 Ac 0.0000 0.0000 0.0000
2 Ac 0.3333 0.6667 0.6667
3 Ac 0.6667 0.3333 0.3333
4 Pm 0.0000 0.0000 0.5000
5 Pm 0.3333 0.6667 0.1667
6 Pm 0.6667 0.3333 0.8333
7 N 0.0000 0.0000 0.2449
8 N 0.0000 0.0000 0.7551
9 N 0.3333 0.6667 0.4218
10 N 0.3333 0.6667 0.9116
11 N 0.6667 0.3333 0.0884
12 N 0.6667 0.3333 0.5782

***

Theoretical X-ray diffraction stick pattern
Compound: MnGa2Rh
Radiation: a wavelength of 1.5418 Å
Structure: a crystal structure in Alexandria, relaxed with GGA-PBE
Kinematic intensities with the Lorentz-polarization factor, no thermal factor.

Principal peaks in the range 5° ≤ 2θ ≤ 70°, most intense first:
d_spacing  2θ (°)  I (rel.)
2.217  40.69  1000
2.022  44.82  751
2.444  36.77  476
2.012  45.06  333
1.441  64.69  325
8.048  10.99  280

Crystal structure
Unit cell a=2.8820 b=2.8820 c=24.1454 alpha=90.00 beta=90.00 gamma=120.00
Sites, in units of the cell vectors:
1 Mn 0.0000 0.0000 0.0000
2 Mn 0.3333 0.6667 0.6667
3 Mn 0.6667 0.3333 0.3333
4 Ga 0.0000 0.0000 0.2502
5 Ga 0.0000 0.0000 0.4178
6 Ga 0.3333 0.6667 0.0844
7 Ga 0.3333 0.6667 0.9169
8 Ga 0.6667 0.3333 0.5835
9 Ga 0.6667 0.3333 0.7511
10 Rh 0.0000 0.0000 0.8341
11 Rh 0.3333 0.6667 0.5008
12 Rh 0.6667 0.3333 0.1674

***

Theoretical X-ray diffraction stick pattern
Compound: Sr3Ce2ZrN6
Radiation: a wavelength of 1.5418 Å
Structure: a crystal structure in Alexandria, relaxed with GGA-PBE
Kinematic intensities with the Lorentz-polarization factor, no thermal factor.

Principal peaks in the range 5° ≤ 2θ ≤ 70°, most intense first:
d_spacing  2θ (°)  I (rel.)
2.543  35.29  1000
2.920  30.62  886
1.814  50.29  335
1.783  51.24  333
2.990  29.89  327
1.531  60.46  279

Crystal structure
Unit cell a=6.1780 b=6.1780 c=6.3208 alpha=99.32 beta=99.32 gamma=120.05
Sites, in units of the cell vectors:
1 Sr 0.0000 0.0000 0.0000
2 Sr 0.3362 0.6638 0.0000
3 Sr 0.6638 0.3362 0.0000
4 Ce 0.1669 0.8331 0.5000
5 Ce 0.8331 0.1669 0.5000
6 Zr 0.5000 0.5000 0.5000
7 N 0.1115 0.4316 0.2954
8 N 0.2477 0.2477 0.7041
9 N 0.4316 0.1115 0.2954
10 N 0.5684 0.8885 0.7046
11 N 0.7523 0.7523 0.2959
12 N 0.8885 0.5684 0.7046

***

Theoretical X-ray diffraction stick pattern
Compound: CePuTeSe2
Radiation: a wavelength of 1.5418 Å
Structure: a crystal structure in Alexandria, relaxed with GGA-PBE
Kinematic intensities with the Lorentz-polarization factor, no thermal factor.

Principal peaks in the range 5° ≤ 2θ ≤ 70°, most intense first:
d_spacing  2θ (°)  I (rel.)
3.251  27.43  1000
2.284  39.45  519
2.365  38.05  445
1.869  48.72  421
2.929  30.52  416
2.373  37.91  399

Crystal structure
Unit cell a=4.5679 b=4.5679 c=13.8874 alpha=90.00 beta=90.00 gamma=90.00
Sites, in units of the cell vectors:
1 Ce 0.0000 0.0000 0.0000
2 Ce 0.5000 0.5000 0.5000
3 Pu 0.0000 0.0000 0.7479
4 Pu 0.5000 0.5000 0.2479
5 Te 0.0000 0.0000 0.3741
6 Te 0.5000 0.5000 0.8741
7 Se 0.0000 0.5000 0.1245
8 Se 0.0000 0.5000 0.6245
9 Se 0.5000 0.0000 0.1245
10 Se 0.5000 0.0000 0.6245

***

Theoretical X-ray diffraction stick pattern
Compound: Zr3Be2Al4
Radiation: a wavelength of 1.5418 Å
Structure: a crystal structure in Alexandria, relaxed with GGA-PBE
Kinematic intensities with the Lorentz-polarization factor, no thermal factor.

Principal peaks in the range 5° ≤ 2θ ≤ 70°, most intense first:
d_spacing  2θ (°)  I (rel.)
2.425  37.07  1000
3.656  24.35  636
2.111  42.85  452
1.592  57.92  262
1.828  49.89  91
1.482  62.71  85

Crystal structure
Unit cell a=5.3194 b=5.3194 c=7.9959 alpha=112.36 beta=112.36 gamma=46.79
Sites, in units of the cell vectors:
1 Zr 0.0000 0.0000 0.0000
2 Zr 0.3371 0.3371 0.3352
3 Zr 0.6629 0.6629 0.6648
4 Be 0.3842 0.3842 0.7144
5 Be 0.6158 0.6158 0.2856
6 Al 0.0626 0.0626 0.3857
7 Al 0.2822 0.2822 0.9352
8 Al 0.7178 0.7178 0.0648
9 Al 0.9374 0.9374 0.6143

***

Theoretical X-ray diffraction stick pattern
Compound: PrBPt2
Radiation: a wavelength of 1.5418 Å
Structure: a crystal structure in Alexandria, relaxed with GGA-PBE
Kinematic intensities with the Lorentz-polarization factor, no thermal factor.

Principal peaks in the range 5° ≤ 2θ ≤ 70°, most intense first:
d_spacing  2θ (°)  I (rel.)
2.607  34.40  1000
2.273  39.65  723
2.680  33.44  413
1.624  56.68  257
1.561  59.19  196
1.480  62.80  173

Crystal structure
Unit cell a=5.5125 b=5.5125 c=8.0396 alpha=90.00 beta=90.00 gamma=120.00
Sites, in units of the cell vectors:
1 Pr 0.0000 0.5000 0.1667
2 Pr 0.5000 0.0000 0.5000
3 Pr 0.5000 0.5000 0.8333
4 B 0.0000 0.5000 0.6667
5 B 0.5000 0.0000 0.0000
6 B 0.5000 0.5000 0.3333
7 Pt 0.1538 0.3076 0.5000
8 Pt 0.1538 0.8462 0.8333
9 Pt 0.3076 0.1538 0.1667
10 Pt 0.6924 0.8462 0.1667
11 Pt 0.8462 0.1538 0.8333
12 Pt 0.8462 0.6924 0.5000

***

Theoretical X-ray diffraction stick pattern
Compound: Sm4NpRu4
Radiation: a wavelength of 1.5418 Å
Structure: a crystal structure in Alexandria, relaxed with GGA-PBE
Kinematic intensities with the Lorentz-polarization factor, no thermal factor.

Principal peaks in the range 5° ≤ 2θ ≤ 70°, most intense first:
d_spacing  2θ (°)  I (rel.)
2.715  32.99  1000
3.218  27.72  645
2.339  38.49  544
2.790  32.09  466
4.862  18.25  381
1.920  47.36  295

Crystal structure
Unit cell a=8.5862 b=8.5862 c=5.8993 alpha=90.00 beta=90.00 gamma=90.00
Sites, in units of the cell vectors:
1 Sm 0.0503 0.6799 0.1372
2 Sm 0.1799 0.9497 0.6372
3 Sm 0.3201 0.5503 0.6372
4 Sm 0.4497 0.8201 0.1372
5 Sm 0.5503 0.1799 0.8628
6 Sm 0.6799 0.4497 0.3628
7 Sm 0.8201 0.0503 0.3628
8 Sm 0.9497 0.3201 0.8628
9 Np 0.2500 0.2500 0.2500
10 Np 0.7500 0.7500 0.7500
11 Ru 0.0147 0.3656 0.3669
12 Ru 0.1344 0.0147 0.1331
13 Ru 0.3656 0.4853 0.1331
14 Ru 0.4853 0.1344 0.3669
15 Ru 0.5147 0.8656 0.6331
16 Ru 0.6344 0.5147 0.8669
17 Ru 0.8656 0.9853 0.8669
18 Ru 0.9853 0.6344 0.6331

***

Theoretical X-ray diffraction stick pattern
Compound: AcNbAl2O8
Radiation: a wavelength of 1.5418 Å
Structure: a crystal structure in Alexandria, relaxed with GGA-PBE
Kinematic intensities with the Lorentz-polarization factor, no thermal factor.

Principal peaks in the range 5° ≤ 2θ ≤ 70°, most intense first:
d_spacing  2θ (°)  I (rel.)
4.827  18.38  1000
2.805  31.90  583
2.787  32.12  407
1.977  45.90  290
2.167  41.67  288
1.613  57.12  249

Crystal structure
Unit cell a=5.5739 b=5.5739 c=6.8947 alpha=90.00 beta=90.00 gamma=120.00
Sites, in units of the cell vectors:
1 Ac 0.0000 0.0000 0.0000
2 Nb 0.0000 0.0000 0.5000
3 Al 0.3333 0.6667 0.7502
4 Al 0.6667 0.3333 0.2498
5 O 0.1588 0.3176 0.6848
6 O 0.1588 0.8412 0.6848
7 O 0.3176 0.1588 0.3152
8 O 0.3333 0.6667 0.0102
9 O 0.6667 0.3333 0.9898
10 O 0.6824 0.8412 0.6848
11 O 0.8412 0.1588 0.3152
12 O 0.8412 0.6824 0.3152

***

Theoretical X-ray diffraction stick pattern
Compound: SrHfCrAg2
Radiation: a wavelength of 1.5418 Å
Structure: a crystal structure in Alexandria, relaxed with GGA-PBE
Kinematic intensities with the Lorentz-polarization factor, no thermal factor.

Principal peaks in the range 5° ≤ 2θ ≤ 70°, most intense first:
d_spacing  2θ (°)  I (rel.)
2.678  33.46  1000
3.573  24.92  625
1.786  51.13  604
4.797  18.50  483
2.398  37.51  463
5.356  16.55  380

Crystal structure
Unit cell a=5.3555 b=5.3555 c=4.7967 alpha=90.00 beta=90.00 gamma=90.00
Sites, in units of the cell vectors:
1 Sr 0.0000 0.0000 0.0000
2 Hf 0.5000 0.5000 0.5000
3 Cr 0.5000 0.5000 0.0000
4 Ag 0.0000 0.5000 0.5000
5 Ag 0.5000 0.0000 0.5000

***

Theoretical X-ray diffraction stick pattern
Compound: KSiH4
Radiation: a wavelength of 1.5418 Å
Structure: a crystal structure in Alexandria, relaxed with GGA-PBE
Kinematic intensities with the Lorentz-polarization factor, no thermal factor.

Principal peaks in the range 5° ≤ 2θ ≤ 70°, most intense first:
d_spacing  2θ (°)  I (rel.)
3.750  23.73  1000
2.767  32.35  961
2.227  40.51  892
2.338  38.51  547
2.990  29.88  495
1.533  60.37  259

Crystal structure
Unit cell a=3.1217 b=5.9799 c=7.5001 alpha=90.00 beta=90.00 gamma=90.00
Sites, in units of the cell vectors:
1 K 0.0000 0.0000 0.0000
2 K 0.5000 0.5000 0.5000
3 Si 0.0000 0.0000 0.5000
4 Si 0.5000 0.5000 0.0000
5 H 0.0000 0.1840 0.3522
6 H 0.0000 0.1840 0.6478
7 H 0.0000 0.8159 0.3522
8 H 0.0000 0.8159 0.6478
9 H 0.5000 0.3160 0.1478
10 H 0.5000 0.3160 0.8522
11 H 0.5000 0.6841 0.1478
12 H 0.5000 0.6841 0.8522

***

Theoretical X-ray diffraction stick pattern
Compound: CeErZr2As4
Radiation: a wavelength of 1.5418 Å
Structure: a crystal structure in Alexandria, relaxed with GGA-PBE
Kinematic intensities with the Lorentz-polarization factor, no thermal factor.

Principal peaks in the range 5° ≤ 2θ ≤ 70°, most intense first:
d_spacing  2θ (°)  I (rel.)
2.826  31.66  1000
1.993  45.52  364
2.004  45.25  362
1.629  56.50  189
1.413  66.12  115
3.257  27.38  75

Crystal structure
Unit cell a=6.9004 b=3.9875 c=6.9568 alpha=90.00 beta=109.34 gamma=90.00
Sites, in units of the cell vectors:
1 Ce 0.0000 0.0000 0.0000
2 Er 0.5000 0.5000 0.0000
3 Zr 0.0000 0.5000 0.5000
4 Zr 0.5000 0.0000 0.5000
5 As 0.2485 0.0000 0.7372
6 As 0.2584 0.5000 0.2656
7 As 0.7416 0.5000 0.7344
8 As 0.7515 0.0000 0.2628